Starting from a structure optimized by DFT (GGA+U), the powder diffraction line list of Li2TiNi2O6 was simulated for λ = 1.5418 Å (Cu Kα).

The 10 most intense peaks (10° ≤ 2θ ≤ 90°), sorted by position:
2theta  Rel. int.
18.2  100
35.8  14
36.2  23
37.7  7
43.2  21
43.7  40
47.5  8
57.5  10
62.7  11
63.6  11

Structure:
```
Li2TiNi2O6
1.0
6.485 -4.353 0.000
6.485 4.353 0.000
-1.449 0.000 5.723
Li Ti Ni O
6 3 6 18
Cartesian
3.249 1.482 3.824 Li
6.485 2.826 0.000 Li
3.249 -1.482 3.824 Li
8.270 1.482 1.899 Li
6.485 -2.826 0.000 Li
8.270 -1.482 1.899 Li
5.760 2.864 2.862 Ti
5.760 0.000 2.862 Ti
5.760 -2.864 2.862 Ti
0.905 0.000 4.815 Ni
4.048 1.427 0.931 Ni
4.048 -1.427 0.931 Ni
7.472 1.427 4.792 Ni
7.472 -1.427 4.792 Ni
10.614 0.000 0.908 Ni
-0.905 0.000 4.218 O
2.955 2.772 5.423 O
3.873 2.809 2.264 O
2.696 0.000 5.320 O
5.358 1.454 4.116 O
7.647 2.809 3.459 O
6.161 1.454 1.607 O
3.872 0.000 2.226 O
8.565 2.772 0.300 O
2.955 -2.772 5.423 O
7.648 0.000 3.497 O
5.358 -1.454 4.116 O
3.873 -2.809 2.264 O
6.161 -1.454 1.607 O
8.824 0.000 0.403 O
7.647 -2.809 3.459 O
8.565 -2.772 0.300 O
12.425 0.000 1.505 O
```



Starting from a structure optimized by DFT (GGA+U), the powder diffraction line list of Li9Mn2Co5O16 was simulated for λ = 1.5418 Å (Cu Kα).

The 10 most intense peaks (10° ≤ 2θ ≤ 90°), sorted by position:
2theta  Rel. int.
18.4  100
35.9  14
36.4  13
36.7  12
38.0  7
43.3  28
44.0  27
44.4  26
63.2  7
63.4  7

Structure:
```
Li9Mn2Co5O16
1.0
5.741 0.000 0.000
1.434 6.453 0.000
1.369 0.282 7.562
Li Mn Co O
9 2 5 16
Cartesian
0.000 0.000 0.000 Li
1.381 0.977 4.777 Li
2.816 2.659 6.712 Li
2.813 4.133 0.887 Li
4.300 5.775 2.812 Li
4.261 0.957 4.743 Li
5.649 2.655 6.704 Li
5.750 4.142 0.948 Li
7.115 5.831 2.741 Li
2.827 3.408 3.786 Mn
7.111 5.103 5.727 Mn
1.377 1.638 1.839 Co
4.252 5.064 5.697 Co
2.845 0.012 0.001 Co
4.306 1.669 1.826 Co
5.697 3.375 3.789 Co
1.426 3.743 2.509 O
2.787 4.722 6.932 O
2.811 5.309 4.384 O
2.938 6.221 1.398 O
2.895 0.448 6.226 O
2.815 1.550 3.296 O
2.846 2.081 0.530 O
4.217 3.178 5.117 O
4.263 3.702 2.547 O
5.697 4.687 6.932 O
5.680 5.348 4.402 O
5.608 6.227 1.360 O
5.633 0.481 6.185 O
5.687 1.400 3.271 O
5.720 2.115 0.605 O
7.125 3.158 5.088 O
```



Starting from a structure optimized by DFT (GGA+U), the powder diffraction line list of NiB2O4 was simulated for λ = 1.5418 Å (Cu Kα).

The 10 most intense peaks (10° ≤ 2θ ≤ 90°), sorted by position:
2theta  Rel. int.
18.8  51
20.0  53
25.8  38
30.6  100
34.3  59
35.0  83
38.6  75
41.1  40
47.1  79
50.1  47

Structure:
```
NiB2O4
1.0
4.670 -2.792 0.000
4.670 2.792 0.000
-1.392 0.000 4.235
Ni B O
2 4 8
Cartesian
3.626 1.929 3.176 Ni
4.322 -1.929 1.059 Ni
2.762 0.600 0.540 B
2.066 -0.600 2.657 B
5.882 0.600 1.577 B
5.185 -0.600 3.694 B
3.294 1.953 0.083 O
2.733 0.501 1.986 O
5.350 1.953 2.034 O
2.037 -0.501 4.103 O
5.910 0.501 0.131 O
2.598 -1.953 2.200 O
5.214 -0.501 2.249 O
4.653 -1.953 4.152 O
```



Starting from a structure optimized by DFT (GGA+U), the powder diffraction line list of Eu2Fe2O5 was simulated for λ = 1.5418 Å (Cu Kα).

The 10 most intense peaks (10° ≤ 2θ ≤ 90°), sorted by position:
2theta  Rel. int.
22.4  21
32.0  45
32.9  100
40.2  24
45.8  30
48.5  11
57.5  40
59.3  18
66.8  9
69.0  14

Structure:
```
Eu2Fe2O5
1.0
3.961 0.000 0.000
0.000 3.961 0.000
0.000 0.000 7.501
Eu Fe O
2 2 5
Cartesian
0.000 0.000 0.000 Eu
0.000 0.000 3.751 Eu
1.981 1.981 1.802 Fe
1.981 1.981 5.699 Fe
0.000 1.981 1.586 O
0.000 1.981 5.915 O
1.981 0.000 1.586 O
1.981 0.000 5.915 O
1.981 1.981 3.751 O
```